(1)
The following is a theoretical X-ray diffraction stick pattern of Fe2C9O8F2. It was derived from a cell relaxed with GGA+U, using Cu Kα (λ = 1.5418 Å).
Intensities are scaled so that the largest is 100.

Cell and atoms:
a = 6.314 Å, b = 11.847 Å, c = 8.504 Å
α = 90.00°, β = 107.20°, γ = 90.00°
Element x y z (fractional)
Fe1 0.134 0.250 0.182
Fe2 0.252 0.250 0.491
Fe3 0.748 0.750 0.509
Fe4 0.866 0.750 0.818
C1 0.045 0.250 0.602
C2 0.086 0.130 0.336
C3 0.086 0.370 0.336
C4 0.161 0.750 0.929
C5 0.207 0.138 0.064
C6 0.207 0.362 0.064
C7 0.420 0.140 0.611
C8 0.420 0.360 0.611
C9 0.443 0.250 0.339
C10 0.557 0.750 0.661
C11 0.580 0.640 0.389
C12 0.580 0.860 0.389
C13 0.793 0.638 0.936
C14 0.793 0.862 0.936
C15 0.839 0.250 0.071
C16 0.914 0.630 0.664
C17 0.914 0.870 0.664
C18 0.955 0.750 0.398
O1 0.010 0.039 0.335
O2 0.010 0.461 0.335
O3 0.074 0.750 0.318
O4 0.255 0.070 0.984
O5 0.255 0.430 0.984
O6 0.346 0.750 0.006
O7 0.464 0.573 0.307
O8 0.464 0.927 0.307
O9 0.536 0.073 0.693
O10 0.536 0.427 0.693
O11 0.654 0.250 0.994
O12 0.745 0.570 0.016
O13 0.745 0.930 0.016
O14 0.926 0.250 0.682
O15 0.990 0.539 0.665
O16 0.990 0.961 0.665
F1 0.421 0.659 0.660
F2 0.421 0.841 0.660
F3 0.579 0.159 0.340
F4 0.579 0.341 0.340

Most intense lines, 15 to 90 degrees two-theta, low angle first:
2theta	d/Å	I_rel
15.49	5.719	28
16.49	5.375	100
17.22	5.151	33
30.84	2.899	59
31.28	2.860	27
32.02	2.795	38
32.21	2.779	29
33.68	2.661	17
34.65	2.588	18
36.49	2.462	17
39.46	2.283	18
49.10	1.856	18


(2)
The following is a theoretical X-ray diffraction stick pattern of Li9Mn2Co5O16. It was derived from a cell relaxed with GGA+U, using Cu Kα (λ = 1.5418 Å).
Intensities are scaled so that the largest is 100.

Cell and atoms:
a = 10.639 Å, b = 10.639 Å, c = 10.277 Å
α = 112.93°, β = 112.93°, γ = 15.62°
Element x y z (fractional)
Li1 0.000 0.000 0.000
Li2 0.002 0.002 0.504
Li3 0.123 0.123 0.938
Li4 0.240 0.240 0.368
Li5 0.242 0.242 0.869
Li6 0.501 0.501 0.248
Li7 0.504 0.504 0.774
Li8 0.736 0.736 0.111
Li9 0.746 0.746 0.625
Mn1 0.371 0.371 0.312
Mn2 0.623 0.623 0.697
Co1 0.123 0.123 0.433
Co2 0.373 0.373 0.813
Co3 0.617 0.617 0.165
Co4 0.871 0.871 0.060
Co5 0.872 0.872 0.565
O1 0.064 0.064 0.226
O2 0.065 0.065 0.715
O3 0.176 0.176 0.656
O4 0.180 0.180 0.160
O5 0.317 0.317 0.594
O6 0.320 0.320 0.106
O7 0.423 0.423 0.518
O8 0.426 0.426 0.031
O9 0.560 0.560 0.981
O10 0.566 0.566 0.480
O11 0.680 0.680 0.887
O12 0.682 0.682 0.411
O13 0.814 0.814 0.839
O14 0.815 0.815 0.334
O15 0.929 0.929 0.291
O16 0.931 0.931 0.782

Most intense lines, 15 to 90 degrees two-theta, low angle first:
2theta	d/Å	I_rel
18.31	4.846	100
35.40	2.536	15
36.23	2.480	25
37.71	2.386	8
42.82	2.112	28
43.87	2.064	54
47.58	1.911	13
57.72	1.597	10
62.85	1.479	14
63.09	1.474	21
64.46	1.446	7
80.52	1.193	6


(3)
The following is a theoretical X-ray diffraction stick pattern of LiV2O3F. It was derived from a cell relaxed with GGA+U, using Cu Kα (λ = 1.5418 Å).
Intensities are scaled so that the largest is 100.

Cell and atoms:
a = 5.969 Å, b = 6.148 Å, c = 8.686 Å
α = 90.00°, β = 90.00°, γ = 90.00°
Element x y z (fractional)
Li1 0.022 0.250 0.143
Li2 0.478 0.750 0.643
Li3 0.522 0.250 0.357
Li4 0.978 0.750 0.857
V1 0.000 0.000 0.500
V2 0.000 0.500 0.500
V3 0.243 0.750 0.260
V4 0.257 0.250 0.760
V5 0.500 0.000 0.000
V6 0.500 0.500 0.000
V7 0.743 0.750 0.240
V8 0.757 0.250 0.740
O1 0.008 0.029 0.731
O2 0.008 0.471 0.731
O3 0.216 0.750 0.497
O4 0.284 0.250 0.997
O5 0.492 0.529 0.231
O6 0.492 0.971 0.231
O7 0.508 0.029 0.769
O8 0.508 0.471 0.769
O9 0.716 0.750 0.003
O10 0.784 0.250 0.503
O11 0.992 0.529 0.269
O12 0.992 0.971 0.269
F1 0.247 0.250 0.503
F2 0.253 0.750 0.003
F3 0.747 0.250 0.997
F4 0.753 0.750 0.497

Most intense lines, 15 to 90 degrees two-theta, low angle first:
2theta	d/Å	I_rel
17.68	5.018	96
18.03	4.919	100
34.23	2.619	19
34.41	2.606	47
34.98	2.565	27
41.59	2.171	42
42.20	2.141	82
55.41	1.658	13
56.07	1.640	13
60.21	1.537	13
60.75	1.525	49
62.21	1.492	11


(4)
The following is a theoretical X-ray diffraction stick pattern of Mn6O5F7. It was derived from a cell relaxed with GGA+U, using Cu Kα (λ = 1.5418 Å).
Intensities are scaled so that the largest is 100.

Cell and atoms:
a = 4.722 Å, b = 5.728 Å, c = 15.593 Å
α = 89.70°, β = 88.96°, γ = 88.33°
Element x y z (fractional)
Mn1 0.000 0.000 0.000
Mn2 0.003 0.307 0.172
Mn3 0.012 0.002 0.676
Mn4 0.017 0.303 0.498
Mn5 0.425 0.485 0.006
Mn6 0.441 0.814 0.508
Mn7 0.448 0.811 0.843
Mn8 0.467 0.511 0.344
Mn9 0.503 0.808 0.177
Mn10 0.511 0.497 0.673
Mn11 0.978 0.288 0.835
Mn12 0.996 0.986 0.334
O1 0.180 0.254 0.943
O2 0.200 0.042 0.441
O3 0.206 0.031 0.784
O4 0.245 0.767 0.948
O5 0.256 0.536 0.448
O6 0.270 0.545 0.122
O7 0.274 0.765 0.621
O8 0.277 0.765 0.285
O9 0.782 0.267 0.726
O10 0.794 0.030 0.226
F1 0.238 0.264 0.280
F2 0.250 0.055 0.111
F3 0.253 0.532 0.781
F4 0.260 0.263 0.610
F5 0.697 0.526 0.893
F6 0.709 0.768 0.739
F7 0.712 0.784 0.405
F8 0.721 0.032 0.897
F9 0.736 0.528 0.241
F10 0.740 0.270 0.388
F11 0.741 0.776 0.062
F12 0.749 0.534 0.558
F13 0.755 0.265 0.059
F14 0.783 0.043 0.565

Most intense lines, 15 to 90 degrees two-theta, low angle first:
2theta	d/Å	I_rel
24.09	3.695	100
24.80	3.591	91
29.42	3.036	98
29.91	2.987	89
30.10	2.969	92
30.41	2.940	81
34.52	2.598	38
35.89	2.502	35
51.87	1.763	46
52.27	1.750	36
52.88	1.731	72
62.82	1.479	43


(5)
The following is a theoretical X-ray diffraction stick pattern of MoH8N2O4. It was derived from a cell relaxed with GGA+U, using Cu Kα (λ = 1.5418 Å).
Intensities are scaled so that the largest is 100.

Cell and atoms:
a = 7.044 Å, b = 7.044 Å, c = 7.959 Å
α = 112.47°, β = 112.47°, γ = 61.52°
Element x y z (fractional)
Mo1 0.208 0.208 0.251
Mo2 0.792 0.792 0.749
H1 0.066 0.066 0.733
H2 0.086 0.319 0.794
H3 0.132 0.132 0.585
H4 0.273 0.500 0.117
H5 0.319 0.086 0.794
H6 0.332 0.332 0.605
H7 0.469 0.469 0.317
H8 0.500 0.273 0.117
H9 0.500 0.727 0.883
H10 0.531 0.531 0.683
H11 0.668 0.668 0.395
H12 0.681 0.914 0.206
H13 0.727 0.500 0.883
H14 0.868 0.868 0.415
H15 0.914 0.681 0.206
H16 0.934 0.934 0.267
N1 0.150 0.150 0.728
N2 0.387 0.387 0.196
N3 0.613 0.613 0.804
N4 0.850 0.850 0.272
O1 0.033 0.623 0.887
O2 0.103 0.103 0.356
O3 0.354 0.354 0.501
O4 0.377 0.967 0.113
O5 0.623 0.033 0.887
O6 0.646 0.646 0.499
O7 0.897 0.897 0.644
O8 0.967 0.377 0.113

Most intense lines, 15 to 90 degrees two-theta, low angle first:
2theta	d/Å	I_rel
16.35	5.421	61
16.81	5.275	100
21.58	4.118	58
22.97	3.872	15
24.71	3.604	45
24.98	3.564	23
25.34	3.514	14
27.61	3.230	17
29.00	3.079	21
35.43	2.534	19
39.87	2.261	14
43.97	2.059	14


(6)
The following is a theoretical X-ray diffraction stick pattern of BaYCo4O7. It was derived from a cell relaxed with GGA+U, using Cu Kα (λ = 1.5418 Å).
Intensities are scaled so that the largest is 100.

Cell and atoms:
a = 6.400 Å, b = 6.400 Å, c = 10.421 Å
α = 90.00°, β = 90.00°, γ = 120.00°
Element x y z (fractional)
Ba1 0.333 0.667 0.000
Ba2 0.667 0.333 0.500
Y1 0.333 0.667 0.396
Y2 0.667 0.333 0.896
Co1 0.000 0.000 0.463
Co2 0.000 0.000 0.963
Co3 0.169 0.338 0.707
Co4 0.169 0.831 0.707
Co5 0.338 0.169 0.207
Co6 0.662 0.831 0.707
Co7 0.831 0.169 0.207
Co8 0.831 0.662 0.207
O1 0.000 0.000 0.264
O2 0.000 0.000 0.764
O3 0.017 0.509 0.779
O4 0.167 0.334 0.523
O5 0.167 0.833 0.523
O6 0.334 0.167 0.023
O7 0.491 0.509 0.779
O8 0.491 0.983 0.779
O9 0.509 0.017 0.279
O10 0.509 0.491 0.279
O11 0.666 0.833 0.523
O12 0.833 0.167 0.023
O13 0.833 0.666 0.023
O14 0.983 0.491 0.279

Most intense lines, 15 to 90 degrees two-theta, low angle first:
2theta	d/Å	I_rel
27.88	3.200	39
30.37	2.943	59
32.84	2.727	100
33.46	2.678	72
34.42	2.605	20
50.90	1.794	26
52.55	1.741	26
55.14	1.666	38
57.61	1.600	36
66.51	1.406	12
68.86	1.363	14
81.74	1.178	14


(7)
The following is a theoretical X-ray diffraction stick pattern of Na2MgCo2O4. It was derived from a cell relaxed with GGA+U, using Cu Kα (λ = 1.5418 Å).
Intensities are scaled so that the largest is 100.

Cell and atoms:
a = 3.114 Å, b = 5.275 Å, c = 6.844 Å
α = 86.02°, β = 82.48°, γ = 87.93°
Element x y z (fractional)
Na1 0.000 0.000 0.000
Na2 0.437 0.410 0.192
Mg1 0.835 0.799 0.429
Co1 0.244 0.172 0.573
Co2 0.538 0.596 0.790
O1 0.352 0.996 0.300
O2 0.356 0.533 0.518
O3 0.713 0.977 0.698
O4 0.994 0.511 0.958

Most intense lines, 15 to 90 degrees two-theta, low angle first:
2theta	d/Å	I_rel
20.69	4.292	28
22.06	4.029	30
32.37	2.766	57
33.97	2.639	49
34.08	2.631	100
35.64	2.519	30
35.81	2.508	76
42.08	2.147	55
42.54	2.125	61
46.70	1.945	47
48.54	1.876	57
52.87	1.732	31


(8)
The following is a theoretical X-ray diffraction stick pattern of Al2NiO4. It was derived from a cell relaxed with GGA+U, using Cu Kα (λ = 1.5418 Å).
Intensities are scaled so that the largest is 100.

Cell and atoms:
a = 5.738 Å, b = 5.742 Å, c = 10.100 Å
α = 73.84°, β = 73.58°, γ = 60.03°
Element x y z (fractional)
Al1 0.000 0.000 0.000
Al2 0.000 0.000 0.500
Al3 0.000 0.500 0.000
Al4 0.250 0.750 0.750
Al5 0.500 0.000 0.500
Al6 0.500 0.500 0.000
Al7 0.500 0.500 0.500
Al8 0.750 0.250 0.250
Ni1 0.064 0.563 0.308
Ni2 0.436 0.938 0.192
Ni3 0.565 0.062 0.808
Ni4 0.936 0.437 0.691
O1 0.091 0.146 0.118
O2 0.132 0.634 0.100
O3 0.144 0.646 0.617
O4 0.145 0.091 0.618
O5 0.355 0.408 0.881
O6 0.355 0.854 0.883
O7 0.366 0.865 0.400
O8 0.408 0.353 0.383
O9 0.591 0.646 0.618
O10 0.632 0.135 0.600
O11 0.645 0.147 0.117
O12 0.645 0.591 0.119
O13 0.854 0.909 0.382
O14 0.855 0.354 0.383
O15 0.867 0.366 0.900
O16 0.908 0.853 0.883

Most intense lines, 15 to 90 degrees two-theta, low angle first:
2theta	d/Å	I_rel
30.71	2.911	70
30.85	2.899	34
31.16	2.871	100
36.22	2.480	44
36.45	2.465	73
36.60	2.455	97
36.72	2.448	45
58.51	1.578	30
58.83	1.570	33
63.96	1.456	46
64.27	1.449	23
64.98	1.435	67


(9)
The following is a theoretical X-ray diffraction stick pattern of Fe4O5F3. It was derived from a cell relaxed with GGA+U, using Cu Kα (λ = 1.5418 Å).
Intensities are scaled so that the largest is 100.

Cell and atoms:
a = 9.923 Å, b = 9.923 Å, c = 4.733 Å
α = 91.59°, β = 91.59°, γ = 35.76°
Element x y z (fractional)
Fe1 0.000 0.500 0.000
Fe2 0.134 0.134 0.471
Fe3 0.245 0.755 0.000
Fe4 0.373 0.373 0.566
Fe5 0.500 0.000 0.000
Fe6 0.627 0.627 0.434
Fe7 0.755 0.245 0.000
Fe8 0.866 0.866 0.529
O1 0.050 0.050 0.182
O2 0.073 0.575 0.716
O3 0.204 0.204 0.803
O4 0.425 0.927 0.284
O5 0.452 0.452 0.825
O6 0.548 0.548 0.175
O7 0.575 0.073 0.716
O8 0.796 0.796 0.197
O9 0.927 0.425 0.284
O10 0.950 0.950 0.818
F1 0.173 0.670 0.328
F2 0.303 0.303 0.213
F3 0.330 0.827 0.672
F4 0.670 0.173 0.328
F5 0.697 0.697 0.787
F6 0.827 0.330 0.672

Most intense lines, 15 to 90 degrees two-theta, low angle first:
2theta	d/Å	I_rel
26.28	3.391	94
27.07	3.294	96
35.04	2.561	100
38.09	2.362	16
40.32	2.237	16
52.27	1.750	52
53.16	1.723	54
54.09	1.696	13
55.83	1.647	15
60.80	1.524	17
66.80	1.400	16
66.93	1.398	20